Starting from a crystal structure in the Materials Project, relaxed with PBE, the powder diffractogram of BaCaYSbO6 was calculated for Cu Kα (λ = 1.5418 Å).

Cell lengths 5.9602, 5.9602, 5.9602 Å; angles 60.00, 60.00, 60.00 degrees
Fractional positions:
Ba1 0.0000 0.0000 0.0000
Ca1 0.5000 0.5000 0.5000
Y1 0.2500 0.2500 0.2500
Sb1 0.7500 0.7500 0.7500
O1 0.5130 0.5130 0.9870
O2 0.5130 0.9870 0.5130
O3 0.5130 0.9870 0.9870
O4 0.9870 0.5130 0.5130
O5 0.9870 0.5130 0.9870
O6 0.9870 0.9870 0.5130

Principal peaks in the range 2θ = 10–90°, in order of rising 2θ:
2θ/deg, d/Å, I_rel
18.23, 4.866, 16
21.08, 4.214, 5
29.98, 2.980, 100
35.32, 2.541, 9
42.92, 2.107, 34
46.99, 1.934, 4
53.24, 1.721, 39
56.75, 1.622, 3
62.31, 1.490, 20
70.68, 1.333, 17
78.64, 1.217, 7
86.38, 1.126, 21

Starting from a crystal structure in the Materials Project, relaxed with PBE, the powder diffractogram of LiGaH8N4 was calculated for Cu Kα (λ = 1.5418 Å).

Cell lengths 6.1912, 7.9848, 6.6005 Å; angles 90.00, 104.11, 90.00 degrees
Fractional positions:
Li1 0.1470 0.0000 0.4031
Li2 0.8530 0.5000 0.5969
Ga1 0.3468 0.2832 0.6352
Ga2 0.6532 0.7832 0.3648
H1 0.1185 0.1014 0.8105
H2 0.1205 0.3236 0.2686
H3 0.2058 0.4529 0.8879
H4 0.2661 0.6919 0.3218
H5 0.2768 0.8177 0.1327
H6 0.2822 0.5788 0.7260
H7 0.3598 0.0149 0.8407
H8 0.3730 0.2646 0.2613
H9 0.6270 0.7646 0.7387
H10 0.6402 0.5149 0.1593
H11 0.7178 0.0788 0.2740
H12 0.7232 0.3177 0.8673
H13 0.7339 0.1919 0.6782
H14 0.7942 0.9529 0.1121
H15 0.8795 0.8236 0.7314
H16 0.8815 0.6014 0.1895
N1 0.1987 0.4686 0.7325
N2 0.2381 0.0747 0.7317
N3 0.2490 0.2468 0.3374
N4 0.3313 0.8043 0.2914
N5 0.6687 0.3043 0.7086
N6 0.7510 0.7468 0.6626
N7 0.7619 0.5747 0.2683
N8 0.8013 0.9686 0.2675

Principal peaks in the range 2θ = 10–90°, in order of rising 2θ:
2θ/deg, d/Å, I_rel
13.83, 6.401, 83
14.75, 6.004, 26
17.76, 4.995, 99
18.49, 4.799, 100
20.86, 4.259, 96
22.27, 3.992, 34
22.64, 3.928, 32
26.31, 3.388, 24
26.82, 3.325, 25
29.76, 3.002, 20
30.08, 2.971, 28
38.25, 2.353, 24